[1]
Starting from DFT lattice parameters and positions (PBE), the PXRD pattern of Ba2MnGa3Pt4 was computed for a wavelength of 1.5418 Å.
Neutral-atom scattering factors, no anomalous dispersion.

Structural model:
Unit cell a=4.5049 b=4.5049 c=10.6213 alpha=90.00 beta=90.00 gamma=90.00
Space group P-4m2 (No. 115)
Inequivalent atoms, fractional coordinates:
Ba  0.0000  0.5000  0.2458 [2 per cell]
Mn  0.0000  0.0000  0.5000 [1 per cell]
Ga  0.0000  0.5000  0.8809 [2 per cell]
Ga  0.5000  0.5000  0.5000 [1 per cell]
Pt  0.0000  0.0000  0.0000 [1 per cell]
Pt  0.0000  0.5000  0.6312 [2 per cell]
Pt  0.5000  0.5000  0.0000 [1 per cell]

Peak list (10 most intense, 10° ≤ 2θ ≤ 80°, in order of rising 2θ)
3.051 Å, I = 33, (1 1 1)
2.784 Å, I = 63, (1 0 3)
2.732 Å, I = 100, (1 1 2)
2.252 Å, I = 78, (2 0 0)
2.040 Å, I = 41, (1 1 4)
1.921 Å, I = 25, (1 0 5)
1.751 Å, I = 32, (2 1 3)
1.593 Å, I = 27, (2 2 0)
1.462 Å, I = 21, (2 1 5)
1.376 Å, I = 24, (3 1 2)

[2]
Starting from DFT lattice parameters and positions (PBE), the PXRD pattern of Ba3GaN3 was computed for a wavelength of 1.5418 Å.
Neutral-atom scattering factors, no anomalous dispersion.

Structural model:
Unit cell a=8.1513 b=8.1513 c=5.7883 alpha=90.00 beta=90.00 gamma=120.00
Space group P6_3/m (No. 176)
Inequivalent atoms, fractional coordinates:
Ba  0.0660  0.3618  0.2500 [6 per cell]
Ga  0.3333  0.6667  0.7500 [2 per cell]
N  0.1096  0.4184  0.7500 [6 per cell]

Peak list (10 most intense, 10° ≤ 2θ ≤ 80°, in order of rising 2θ)
3.332 Å, I = 100, (1 1 1)
3.014 Å, I = 42, (2 0 1)
2.894 Å, I = 41, (0 0 2)
2.668 Å, I = 32, (1 2 0)
2.353 Å, I = 29, (3 0 0)
1.961 Å, I = 34, (1 2 2)
1.826 Å, I = 27, (3 0 2)
1.744 Å, I = 16, (1 1 3)
1.621 Å, I = 14, (2 3 0)
1.560 Å, I = 19, (2 3 1)

[3]
Starting from DFT lattice parameters and positions (PBE), the PXRD pattern of Ba2Ga2N3 was computed for a wavelength of 1.5418 Å.
Neutral-atom scattering factors, no anomalous dispersion.

Structural model:
Unit cell a=12.7356 b=3.6714 c=6.1469 alpha=90.00 beta=116.96 gamma=90.00
Space group C2/m (No. 12)
Inequivalent atoms, fractional coordinates:
Ba  0.0981  0.0000  0.3225 [4 per cell]
Ga  0.1614  0.5000  0.8261 [4 per cell]
N  0.0000  0.5000  0.5000 [2 per cell]
N  0.2394  0.0000  0.8031 [4 per cell]

Peak list (10 most intense, 10° ≤ 2θ ≤ 80°, in order of rising 2θ)
3.270 Å, I = 17, (2 0 1)
3.176 Å, I = 39, (4 0 -1)
3.072 Å, I = 32, (2 0 -2)
2.838 Å, I = 20, (4 0 0)
2.775 Å, I = 68, (1 1 1)
2.736 Å, I = 100, (3 1 -1)
2.295 Å, I = 17, (3 1 -2)
1.931 Å, I = 21, (5 1 0)
1.836 Å, I = 17, (0 2 0)
1.615 Å, I = 19, (7 1 -2)